The following is a computed powder diffractogram of Sr7Pt3. It was derived from the PBE geometry in the Materials Project, using copper Kα.
No peak broadening, texture or thermal motion is included.

Structure:
abc: 8.0075 24.5426 7.1919
angles: 90.00 90.00 90.00
Sites, in units of the cell vectors:
Sr 0.0428 0.1177 0.1544
Sr 0.0428 0.3823 0.1544
Sr 0.1680 0.0226 0.6770
Sr 0.1680 0.4774 0.6770
Sr 0.1767 0.7500 0.6476
Sr 0.1797 0.1743 0.6843
Sr 0.1797 0.3257 0.6843
Sr 0.3203 0.6743 0.1843
Sr 0.3203 0.8257 0.1843
Sr 0.3233 0.2500 0.1476
Sr 0.3320 0.5226 0.1770
Sr 0.3320 0.9774 0.1770
Sr 0.4572 0.6177 0.6544
Sr 0.4572 0.8823 0.6544
Sr 0.5428 0.1177 0.3456
Sr 0.5428 0.3823 0.3456
Sr 0.6680 0.0226 0.8230
Sr 0.6680 0.4774 0.8230
Sr 0.6767 0.7500 0.8524
Sr 0.6797 0.1743 0.8157
Sr 0.6797 0.3257 0.8157
Sr 0.8203 0.6743 0.3157
Sr 0.8203 0.8257 0.3157
Sr 0.8233 0.2500 0.3524
Sr 0.8320 0.5226 0.3230
Sr 0.8320 0.9774 0.3230
Sr 0.9572 0.6177 0.8456
Sr 0.9572 0.8823 0.8456
Pt 0.0216 0.7500 0.0348
Pt 0.1216 0.5948 0.4630
Pt 0.1216 0.9052 0.4630
Pt 0.3784 0.0948 0.9630
Pt 0.3784 0.4052 0.9630
Pt 0.4784 0.2500 0.5348
Pt 0.5216 0.7500 0.4652
Pt 0.6216 0.5948 0.0370
Pt 0.6216 0.9052 0.0370
Pt 0.8784 0.0948 0.5370
Pt 0.8784 0.4052 0.5370
Pt 0.9784 0.2500 0.9652

The 10 most intense peaks (10° ≤ 2θ ≤ 90°), most intense first:
d = 4.905 Å, 2θ = 18.09°, I = 1000, (1 2 1)
d = 3.043 Å, 2θ = 29.35°, I = 918, (1 3 2)
d = 2.660 Å, 2θ = 33.70°, I = 720, (2 1 2)
d = 2.701 Å, 2θ = 33.17°, I = 609, (0 6 2)
d = 2.502 Å, 2θ = 35.89°, I = 589, (3 0 1)
d = 4.478 Å, 2θ = 19.83°, I = 586, (1 3 1)
d = 2.933 Å, 2θ = 30.48°, I = 578, (1 7 1)
d = 2.638 Å, 2θ = 33.99°, I = 575, (2 7 0)
d = 2.151 Å, 2θ = 42.00°, I = 517, (1 4 3)
d = 4.033 Å, 2θ = 22.04°, I = 484, (1 4 1)